For BaSb2, a PBE-relaxed structure gives the simulated powder diffraction line list in this record (a wavelength of 1.5418 Å).

Main lines, most intense first (5 to 70 degrees two-theta):
Position (°2θ), d [Å], intensity
29.30, 3.048, 1000
30.55, 2.926, 973
34.33, 2.612, 335
28.70, 3.110, 298
40.23, 2.242, 292
28.33, 3.150, 259
23.03, 3.862, 240
54.73, 1.677, 182
53.89, 1.701, 181
43.74, 2.069, 170

Atomic structure:
```
BaSb2
1.0
5.2392 0.0000 0.0000
0.0000 4.4838 0.0000
-1.9232 0.0000 9.3311
Ba Sb
2 4
direct
0.0809 0.2500 0.2145
0.9191 0.7500 0.7855
0.3315 0.7500 0.5224
0.4604 0.2500 0.8957
0.5396 0.7500 0.1043
0.6685 0.2500 0.4776
```


For Nd4Lu11S22, a PBE-relaxed structure gives the simulated powder diffraction line list in this record (a wavelength of 1.5418 Å).

Main lines, most intense first (5 to 70 degrees two-theta):
Position (°2θ), d [Å], intensity
24.46, 3.639, 1000
23.73, 3.750, 796
27.91, 3.196, 628
31.78, 2.816, 613
26.64, 3.346, 611
42.47, 2.129, 549
34.24, 2.619, 541
27.62, 3.230, 482
46.44, 1.955, 424
44.54, 2.034, 350

Atomic structure:
```
Nd4Lu11S22
1.0
19.3953 -1.9555 0.0000
19.3953 1.9555 0.0000
-0.2742 0.0000 11.2511
Nd Lu S
4 11 22
direct
0.1044 0.1044 0.0131
0.3669 0.3669 0.3485
0.6331 0.6331 0.6515
0.8956 0.8956 0.9869
0.0000 0.0000 0.0000
0.0698 0.0698 0.3610
0.2023 0.2023 0.9416
0.2634 0.2634 0.3519
0.3423 0.3423 0.6986
0.4618 0.4618 0.2708
0.5382 0.5382 0.7292
0.6577 0.6577 0.3014
0.7366 0.7366 0.6481
0.7977 0.7977 0.0584
0.9302 0.9302 0.6390
0.0079 0.0079 0.2402
0.0872 0.0872 0.7531
0.1349 0.1349 0.4522
0.1690 0.1690 0.1517
0.1896 0.1896 0.6913
0.2550 0.2550 0.1191
0.2803 0.2803 0.5895
0.3500 0.3500 0.0920
0.4072 0.4072 0.7863
0.4450 0.4450 0.4936
0.4534 0.4534 0.0311
0.5466 0.5466 0.9689
0.5550 0.5550 0.5064
0.5928 0.5928 0.2137
0.6500 0.6500 0.9080
0.7197 0.7197 0.4105
0.7450 0.7450 0.8809
0.8104 0.8104 0.3087
0.8310 0.8310 0.8483
0.8651 0.8651 0.5478
0.9128 0.9128 0.2469
0.9921 0.9921 0.7598
```


For Li3Nb4CuO12, a PBE-relaxed structure gives the simulated powder diffraction line list in this record (a wavelength of 1.5418 Å).

Main lines, most intense first (5 to 70 degrees two-theta):
Position (°2θ), d [Å], intensity
23.29, 3.820, 1000
32.00, 2.797, 718
34.29, 2.615, 454
52.08, 1.756, 336
47.61, 1.910, 322
59.98, 1.542, 258
61.41, 1.510, 205
55.19, 1.664, 151
55.54, 1.655, 132
39.35, 2.290, 124

Atomic structure:
```
Li3Nb4CuO12
1.0
5.2302 0.0000 0.0000
0.0045 5.6185 0.0000
0.0034 0.7563 7.6414
Li Nb Cu O
3 4 1 12
direct
0.0000 0.0000 0.0000
0.0005 0.0040 0.5006
0.4979 0.5010 0.4983
0.4997 0.0741 0.7829
0.5013 0.0699 0.2849
0.9959 0.5701 0.7829
0.9973 0.5728 0.2887
0.4989 0.5219 0.0112
0.1261 0.6188 0.5516
0.1803 0.9245 0.2462
0.1862 0.2935 0.8680
0.3029 0.8000 0.8698
0.3187 0.4241 0.2486
0.3750 0.1161 0.5498
0.6278 0.1105 0.0502
0.6794 0.4215 0.7376
0.6945 0.7974 0.3724
0.8040 0.2976 0.3698
0.8180 0.9205 0.7447
0.8765 0.6203 0.0513
```


For SiO2, a PBE-relaxed structure gives the simulated powder diffraction line list in this record (a wavelength of 1.5418 Å).

Main lines, most intense first (5 to 70 degrees two-theta):
Position (°2θ), d [Å], intensity
10.12, 8.739, 1000
13.29, 6.663, 636
27.93, 3.195, 172
20.32, 4.370, 171
28.38, 3.145, 95
30.69, 2.913, 87
17.22, 5.148, 51
31.93, 2.803, 43
51.81, 1.765, 31
54.55, 1.682, 30

Atomic structure:
```
SiO2
1.0
10.0911 0.0000 0.0000
-5.0455 8.7391 0.0000
0.0000 0.0000 10.2963
Si O
12 24
direct
0.1373 0.5686 0.1035
0.1373 0.5686 0.3965
0.4314 0.5686 0.1035
0.4314 0.5686 0.3965
0.4314 0.8627 0.1035
0.4314 0.8627 0.3965
0.5686 0.1373 0.6035
0.5686 0.1373 0.8965
0.5686 0.4314 0.6035
0.5686 0.4314 0.8965
0.8627 0.4314 0.6035
0.8627 0.4314 0.8965
0.0000 0.5000 0.0000
0.0000 0.5000 0.5000
0.0649 0.5324 0.2500
0.2458 0.4915 0.0835
0.2458 0.4915 0.4165
0.2458 0.7542 0.0835
0.2458 0.7542 0.4165
0.4676 0.5324 0.2500
0.4676 0.9351 0.2500
0.4915 0.2458 0.5835
0.4915 0.2458 0.9165
0.5000 0.0000 0.0000
0.5000 0.0000 0.5000
0.5000 0.5000 0.0000
0.5000 0.5000 0.5000
0.5085 0.7542 0.0835
0.5085 0.7542 0.4165
0.5324 0.0649 0.7500
0.5324 0.4676 0.7500
0.7542 0.2458 0.5835
0.7542 0.2458 0.9165
0.7542 0.5085 0.5835
0.7542 0.5085 0.9165
0.9351 0.4676 0.7500
```


For TbYNi4B4C2, a PBE-relaxed structure gives the simulated powder diffraction line list in this record (a wavelength of 1.5418 Å).

Main lines, most intense first (5 to 70 degrees two-theta):
Position (°2θ), d [Å], intensity
39.94, 2.257, 1000
26.59, 3.353, 444
34.31, 2.614, 353
36.17, 2.483, 316
51.65, 1.770, 260
65.24, 1.430, 238
63.48, 1.465, 222
8.46, 10.455, 141
64.68, 1.441, 114
59.02, 1.565, 113

Atomic structure:
```
TbYNi4B4C2
1.0
3.5394 0.0000 0.0000
0.0000 3.5394 0.0000
0.0000 0.0000 10.4554
Tb Y Ni B C
1 1 4 4 2
direct
0.0000 0.0000 0.0000
0.5000 0.5000 0.5000
0.0000 0.5000 0.2500
0.0000 0.5000 0.7500
0.5000 0.0000 0.2500
0.5000 0.0000 0.7500
0.0000 0.0000 0.3575
0.0000 0.0000 0.6425
0.5000 0.5000 0.1425
0.5000 0.5000 0.8575
0.0000 0.0000 0.5000
0.5000 0.5000 0.0000
```


For Y4Ga2O9, a PBE-relaxed structure gives the simulated powder diffraction line list in this record (a wavelength of 1.5418 Å).

Main lines, most intense first (5 to 70 degrees two-theta):
Position (°2θ), d [Å], intensity
29.31, 3.047, 1000
29.80, 2.998, 656
49.09, 1.856, 187
48.69, 1.870, 175
25.96, 3.432, 171
30.02, 2.977, 167
34.20, 2.622, 152
34.98, 2.565, 152
49.28, 1.849, 151
57.98, 1.591, 114

Atomic structure:
```
Y4Ga2O9
1.0
7.4248 0.0000 0.0000
0.0000 10.6717 0.0000
-3.4742 0.0000 10.8748
Y Ga O
16 8 36
direct
0.0827 0.1155 0.4080
0.0827 0.3845 0.9080
0.2374 0.6155 0.7198
0.2374 0.8845 0.2198
0.2737 0.0990 0.8001
0.2737 0.4010 0.3001
0.4064 0.6286 0.0586
0.4064 0.8714 0.5586
0.5936 0.1286 0.4414
0.5936 0.3714 0.9414
0.7263 0.5990 0.6999
0.7263 0.9010 0.1999
0.7626 0.1155 0.7802
0.7626 0.3845 0.2802
0.9173 0.6155 0.0920
0.9173 0.8845 0.5920
0.0861 0.6761 0.3913
0.0861 0.8239 0.8913
0.4459 0.1710 0.1223
0.4459 0.3290 0.6223
0.5541 0.6710 0.3777
0.5541 0.8290 0.8777
0.9139 0.1761 0.1087
0.9139 0.3239 0.6087
0.0247 0.5185 0.3246
0.0247 0.9815 0.8246
0.0355 0.2328 0.7485
0.0355 0.2672 0.2485
0.1206 0.7388 0.5469
0.1206 0.7612 0.0469
0.1875 0.0060 0.6053
0.1875 0.4940 0.1053
0.3096 0.2340 0.9724
0.3096 0.2660 0.4724
0.3223 0.7386 0.3866
0.3223 0.7614 0.8866
0.3340 0.0030 0.3917
0.3340 0.4970 0.8917
0.4370 0.0013 0.1433
0.4370 0.4987 0.6433
0.4798 0.2448 0.7713
0.4798 0.2552 0.2713
0.5202 0.7448 0.7287
0.5202 0.7552 0.2287
0.5630 0.5013 0.3567
0.5630 0.9987 0.8567
0.6660 0.5030 0.1083
0.6660 0.9970 0.6083
0.6777 0.2386 0.1134
0.6777 0.2614 0.6134
0.6904 0.7340 0.5276
0.6904 0.7660 0.0276
0.8125 0.5060 0.8947
0.8125 0.9940 0.3947
0.8794 0.2388 0.9531
0.8794 0.2612 0.4531
0.9645 0.7328 0.7515
0.9645 0.7672 0.2515
0.9753 0.0185 0.1754
0.9753 0.4815 0.6754
```